[1]
The following is a computed PXRD pattern of Na4Er3PbO8. It was derived from a PBE-relaxed structure, using Cu Kα (weighted mean of Kα1 and Kα2).
No peak broadening, texture or thermal motion is included.

Crystal structure
a b c (Å): 6.8339 6.8339 16.8498
angles (deg): 90.00 90.00 120.00
Space group R-3m (No. 166, hexagonal axes)
Inequivalent atoms, fractional coordinates:
Na 0.0000 0.0000 0.0000 (multiplicity 3)
Na 0.0000 0.5000 0.0000 (multiplicity 9)
Er 0.0000 0.5000 0.5000 (multiplicity 9)
Pb 0.0000 0.0000 0.5000 (multiplicity 3)
O 0.0000 0.0000 0.2356 (multiplicity 6)
O 0.0144 0.5072 0.7610 (multiplicity 18)

Main lines, sorted by position (10° ≤ 2θ ≤ 90°):
two_theta, I/Imax, (hkl)
15.8, 100, 0 0 3
30.7, 53, 0 2 1
32.1, 60, 2 0 2
37.1, 79, 0 2 4
40.6, 23, 2 0 5
53.4, 26, 2 0 8
53.6, 26, 2 2 0
56.3, 23, 2 2 3


[2]
The following is a computed PXRD pattern of NaEr2PbO6. It was derived from a PBE-relaxed structure, using Cu Kα (weighted mean of Kα1 and Kα2).
No peak broadening, texture or thermal motion is included.

Crystal structure
a b c (Å): 5.7665 5.7665 15.5163
angles (deg): 90.00 90.00 120.00
Space group R3 (No. 146, hexagonal axes)
Inequivalent atoms, fractional coordinates:
Na 0.0000 0.0000 0.0000 (multiplicity 3)
Er 0.0000 0.0000 0.2151 (multiplicity 3)
Er 0.0000 0.0000 0.7226 (multiplicity 3)
Pb 0.0000 0.0000 0.5122 (multiplicity 3)
O 0.0008 0.3128 0.1218 (multiplicity 9)
O 0.0750 0.7051 0.2832 (multiplicity 9)

Main lines, sorted by position (10° ≤ 2θ ≤ 90°):
two_theta, I/Imax, (hkl)
18.7, 42, 1 0 1
21.2, 37, 0 1 2
29.2, 98, 1 0 4
31.0, 100, 1 1 0
43.1, 40, 0 2 4
47.2, 47, 1 1 6
54.0, 39, 2 1 4
55.2, 29, 3 0 0